Structure and theoretical powder XRD pattern of SrGaH5 (a GGA-PBE-relaxed structure; Cu Kα (weighted mean of Kα1 and Kα2)).

```
data_SrGaH5
_chemical_formula_sum 'Sr4 Ga4 H20'
_symmetry_space_group_name_H-M 'P n m a'
_symmetry_Int_Tables_number 62
_cell_length_a 8.706
_cell_length_b 4.723
_cell_length_c 8.868
_cell_angle_alpha 90.00
_cell_angle_beta 90.00
_cell_angle_gamma 90.00
loop_
_symmetry_equiv_pos_as_xyz
'x,y,z'
'-x,-y,-z'
'-x+1/2,-y,z+1/2'
'x+1/2,y,-z+1/2'
'x+1/2,-y+1/2,-z+1/2'
'-x+1/2,y+1/2,z+1/2'
'-x,y+1/2,-z'
'x,-y+1/2,z'
loop_
_atom_site_label
_atom_site_type_symbol
_atom_site_fract_x
_atom_site_fract_y
_atom_site_fract_z
_atom_site_occupancy
Sr1 Sr 0.006 0.250 0.182 1
Ga1 Ga 0.167 0.250 0.585 1
H1 H 0.016 0.750 0.402 1
H2 H 0.018 0.250 0.913 1
H3 H 0.217 0.250 0.411 1
H4 H 0.226 0.525 0.671 1
```

Principal peaks in the range 5° ≤ 2θ ≤ 70°, in order of rising 2θ:
h k l	d/Å	2θ (°)	Rel. int.
1 0 2	3.951	22.50	355
1 1 1	3.760	23.66	527
2 1 0	3.201	27.87	301
2 0 2	3.106	28.74	292
1 1 2	3.031	29.47	1000
2 1 1	3.011	29.67	923
3 0 1	2.758	32.46	408
0 1 3	2.506	35.84	302
0 2 0	2.362	38.10	342
3 1 4	1.651	55.68	369


Structure and theoretical powder XRD pattern of Zn11C2N10 (a GGA-PBE-relaxed structure; Cu Kα (weighted mean of Kα1 and Kα2)).

```
data_Zn11C2N10
_chemical_formula_sum 'Zn22 C4 N20'
_symmetry_space_group_name_H-M 'P 42/m n m'
_symmetry_Int_Tables_number 136
_symmetry_space_group_name_Hall '-P 4n 2n'
_cell_length_a 13.130
_cell_length_b 13.130
_cell_length_c 3.105
_cell_angle_alpha 90.00
_cell_angle_beta 90.00
_cell_angle_gamma 90.00
loop_
_atom_site_label
_atom_site_type_symbol
_atom_site_fract_x
_atom_site_fract_y
_atom_site_fract_z
_atom_site_occupancy
Zn1 Zn 0.000 0.000 0.000 1
Zn2 Zn 0.006 0.211 0.500 1
Zn3 Zn 0.092 0.610 0.500 1
Zn4 Zn 0.163 0.837 0.000 1
C1 C 0.195 0.195 0.000 1
N1 N 0.013 0.679 0.000 1
N2 N 0.084 0.916 0.500 1
N3 N 0.128 0.128 0.000 1
N4 N 0.239 0.761 0.500 1
```

Principal peaks in the range 5° ≤ 2θ ≤ 70°, in order of rising 2θ:
h k l	d/Å	2θ (°)	Rel. int.
2 1 0	5.872	15.09	193
5 1 0	2.577	34.81	1000
3 2 1	2.363	38.09	673
4 4 0	2.321	38.80	330
3 3 1	2.192	41.19	269
4 3 1	2.005	45.23	201
7 3 0	1.725	53.10	118
7 1 1	1.594	57.86	163
7 2 1	1.560	59.25	137
0 0 2	1.552	59.55	143